For Cs2TcSe2S, a PBE-relaxed structure gives the simulated powder X-ray diffraction pattern in this record (copper Kα).
No peak broadening, texture or thermal motion is included.

Principal peaks in the range 2θ = 10–90°, low angle first:
21.0 deg, I = 21; 23.2 deg, I = 42; 24.1 deg, I = 100; 25.5 deg, I = 71; 25.8 deg, I = 58; 32.2 deg, I = 26; 35.4 deg, I = 43; 35.6 deg, I = 34; 40.3 deg, I = 27; 47.5 deg, I = 22

Atomic structure:
Unit cell a=8.172 b=8.172 c=10.462 alpha=121.67 beta=121.67 gamma=53.70
Element x y z (fractional)
Cs1 0.083 0.083 0.356
Cs2 0.303 0.303 0.189
Cs3 0.697 0.697 0.811
Cs4 0.917 0.917 0.644
Tc1 0.399 0.399 0.846
Tc2 0.601 0.601 0.154
Se1 0.212 0.212 0.777
Se2 0.389 0.389 0.611
Se3 0.611 0.611 0.389
Se4 0.788 0.788 0.223
S1 0.260 0.740 0.000
S2 0.740 0.260 0.000

***

For Zr5Cu2, a PBE-relaxed structure gives the simulated powder X-ray diffraction pattern in this record (copper Kα).
No peak broadening, texture or thermal motion is included.

Principal peaks in the range 2θ = 10–90°, low angle first:
30.5 deg, I = 8; 37.3 deg, I = 100; 37.5 deg, I = 90; 53.9 deg, I = 30; 55.5 deg, I = 2; 67.2 deg, I = 22; 67.4 deg, I = 30; 67.8 deg, I = 11; 79.5 deg, I = 10; 80.0 deg, I = 7

Atomic structure:
Unit cell a=7.378 b=7.378 c=7.378 alpha=38.17 beta=38.17 gamma=38.17
Element x y z (fractional)
Zr1 0.000 0.000 0.000
Zr2 0.153 0.153 0.153
Zr3 0.422 0.422 0.422
Zr4 0.578 0.578 0.578
Zr5 0.847 0.847 0.847
Cu1 0.284 0.284 0.284
Cu2 0.716 0.716 0.716

***

For Rb2MoS4, a PBE-relaxed structure gives the simulated powder X-ray diffraction pattern in this record (copper Kα).
No peak broadening, texture or thermal motion is included.

Principal peaks in the range 2θ = 10–90°, low angle first:
20.8 deg, I = 64; 22.9 deg, I = 100; 25.3 deg, I = 60; 25.5 deg, I = 78; 32.4 deg, I = 22; 33.0 deg, I = 88; 36.0 deg, I = 47; 41.1 deg, I = 19; 43.2 deg, I = 19; 51.9 deg, I = 31

Atomic structure:
Unit cell a=8.342 b=8.342 c=9.264 alpha=110.57 beta=110.57 gamma=49.92
Element x y z (fractional)
Rb1 0.035 0.035 0.263
Rb2 0.339 0.339 0.251
Rb3 0.661 0.661 0.749
Rb4 0.965 0.965 0.737
Mo1 0.328 0.328 0.795
Mo2 0.672 0.672 0.205
S1 0.112 0.615 0.947
S2 0.172 0.172 0.650
S3 0.385 0.888 0.053
S4 0.415 0.415 0.649
S5 0.585 0.585 0.351
S6 0.615 0.112 0.947
S7 0.828 0.828 0.350
S8 0.888 0.385 0.053

***

For Ac2Lu2O5, a PBE-relaxed structure gives the simulated powder X-ray diffraction pattern in this record (copper Kα).
No peak broadening, texture or thermal motion is included.

Principal peaks in the range 2θ = 10–90°, low angle first:
29.6 deg, I = 50; 30.6 deg, I = 100; 42.3 deg, I = 27; 45.1 deg, I = 11; 53.1 deg, I = 44; 54.9 deg, I = 18; 63.6 deg, I = 15; 85.5 deg, I = 12; 86.9 deg, I = 11; 89.4 deg, I = 10

Atomic structure:
Unit cell a=4.270 b=4.270 c=8.033 alpha=90.00 beta=90.00 gamma=90.00
Element x y z (fractional)
Ac1 0.000 0.000 0.000
Ac2 0.000 0.000 0.500
Lu1 0.500 0.500 0.239
Lu2 0.500 0.500 0.761
O1 0.000 0.500 0.249
O2 0.000 0.500 0.751
O3 0.500 0.000 0.249
O4 0.500 0.000 0.751
O5 0.500 0.500 0.500

***

For Hg4SI2Cl4, a PBE-relaxed structure gives the simulated powder X-ray diffraction pattern in this record (copper Kα).
No peak broadening, texture or thermal motion is included.

Principal peaks in the range 2θ = 10–90°, low angle first:
19.0 deg, I = 65; 19.9 deg, I = 100; 30.1 deg, I = 25; 31.3 deg, I = 49; 32.7 deg, I = 37; 34.4 deg, I = 63; 34.6 deg, I = 55; 38.6 deg, I = 35; 47.4 deg, I = 27; 47.7 deg, I = 24

Atomic structure:
Unit cell a=6.814 b=5.479 c=18.127 alpha=90.00 beta=100.40 gamma=90.00
Element x y z (fractional)
Hg1 0.161 0.216 0.398
Hg2 0.161 0.284 0.898
Hg3 0.269 0.706 0.105
Hg4 0.269 0.794 0.605
Hg5 0.731 0.206 0.395
Hg6 0.731 0.294 0.895
Hg7 0.839 0.716 0.102
Hg8 0.839 0.784 0.602
S1 0.500 0.000 0.500
S2 0.500 0.500 0.000
I1 0.039 0.222 0.112
I2 0.039 0.278 0.612
I3 0.961 0.722 0.388
I4 0.961 0.778 0.888
Cl1 0.397 0.198 0.299
Cl2 0.397 0.302 0.799
Cl3 0.477 0.657 0.422
Cl4 0.477 0.843 0.922
Cl5 0.523 0.157 0.078
Cl6 0.523 0.343 0.578
Cl7 0.603 0.698 0.201
Cl8 0.603 0.802 0.701

***

For BeGaIr2, a PBE-relaxed structure gives the simulated powder X-ray diffraction pattern in this record (copper Kα).
No peak broadening, texture or thermal motion is included.

Principal peaks in the range 2θ = 10–90°, low angle first:
26.2 deg, I = 6; 30.4 deg, I = 56; 43.5 deg, I = 100; 51.5 deg, I = 3; 54.0 deg, I = 15; 63.2 deg, I = 17; 69.7 deg, I = 1; 71.8 deg, I = 20; 79.9 deg, I = 34; 85.9 deg, I = 1

Atomic structure:
Unit cell a=4.159 b=12.478 c=5.878 alpha=90.00 beta=90.00 gamma=90.00
Element x y z (fractional)
Be1 0.000 0.000 0.000
Be2 0.002 0.333 0.000
Be3 0.498 0.833 0.500
Be4 0.500 0.500 0.500
Be5 0.502 0.167 0.500
Be6 0.998 0.667 0.000
Ga1 0.000 0.000 0.500
Ga2 0.001 0.333 0.500
Ga3 0.499 0.833 0.000
Ga4 0.500 0.500 0.000
Ga5 0.501 0.167 0.000
Ga6 0.999 0.667 0.500
Ir1 0.000 0.500 0.250
Ir2 0.000 0.500 0.750
Ir3 0.001 0.167 0.250
Ir4 0.001 0.167 0.750
Ir5 0.499 0.667 0.250
Ir6 0.499 0.667 0.750
Ir7 0.500 0.000 0.250
Ir8 0.500 0.000 0.750
Ir9 0.501 0.333 0.250
Ir10 0.501 0.333 0.750
Ir11 0.999 0.833 0.250
Ir12 0.999 0.833 0.750

***

For AgPt3Pb5, a PBE-relaxed structure gives the simulated powder X-ray diffraction pattern in this record (copper Kα).
No peak broadening, texture or thermal motion is included.

Principal peaks in the range 2θ = 10–90°, low angle first:
10.5 deg, I = 52; 18.1 deg, I = 23; 28.0 deg, I = 43; 31.7 deg, I = 68; 31.9 deg, I = 44; 38.4 deg, I = 83; 42.8 deg, I = 100; 66.2 deg, I = 28; 67.6 deg, I = 21; 75.4 deg, I = 24

Atomic structure:
Unit cell a=5.646 b=5.646 c=8.406 alpha=90.00 beta=90.00 gamma=120.00
Element x y z (fractional)
Ag1 0.000 0.000 0.000
Pt1 0.000 0.500 0.500
Pt2 0.500 0.000 0.500
Pt3 0.500 0.500 0.500
Pb1 0.000 0.000 0.500
Pb2 0.333 0.667 0.198
Pb3 0.333 0.667 0.802
Pb4 0.667 0.333 0.198
Pb5 0.667 0.333 0.802

***

For InCuTcNi, a PBE-relaxed structure gives the simulated powder X-ray diffraction pattern in this record (copper Kα).
No peak broadening, texture or thermal motion is included.

Principal peaks in the range 2θ = 10–90°, low angle first:
24.9 deg, I = 8; 41.3 deg, I = 100; 48.9 deg, I = 4; 59.8 deg, I = 16; 65.8 deg, I = 2; 75.3 deg, I = 31; 80.8 deg, I = 1; 89.7 deg, I = 10

Atomic structure:
Unit cell a=4.372 b=4.372 c=4.372 alpha=60.00 beta=60.00 gamma=60.00
Element x y z (fractional)
In1 0.000 0.000 0.000
Cu1 0.250 0.250 0.250
Tc1 0.750 0.750 0.750
Ni1 0.500 0.500 0.500

***

For NaNpPd, a PBE-relaxed structure gives the simulated powder X-ray diffraction pattern in this record (copper Kα).
No peak broadening, texture or thermal motion is included.

Principal peaks in the range 2θ = 10–90°, low angle first:
22.8 deg, I = 98; 26.3 deg, I = 20; 37.6 deg, I = 100; 44.4 deg, I = 52; 54.2 deg, I = 17; 59.5 deg, I = 22; 67.8 deg, I = 36; 72.6 deg, I = 17; 80.2 deg, I = 11; 84.7 deg, I = 17

Atomic structure:
Unit cell a=4.787 b=4.787 c=4.787 alpha=60.00 beta=60.00 gamma=60.00
Element x y z (fractional)
Na1 0.000 0.000 0.000
Np1 0.500 0.500 0.500
Pd1 0.250 0.250 0.250

***

For Tm2Mg, a PBE-relaxed structure gives the simulated powder X-ray diffraction pattern in this record (copper Kα).
No peak broadening, texture or thermal motion is included.

Principal peaks in the range 2θ = 10–90°, low angle first:
15.9 deg, I = 21; 30.1 deg, I = 32; 32.0 deg, I = 31; 34.2 deg, I = 100; 44.5 deg, I = 22; 53.5 deg, I = 19; 58.5 deg, I = 22; 63.7 deg, I = 23; 65.0 deg, I = 16; 89.0 deg, I = 14

Atomic structure:
Unit cell a=3.427 b=3.427 c=16.760 alpha=90.00 beta=90.00 gamma=120.00
Element x y z (fractional)
Tm1 0.000 0.000 0.000
Tm2 0.000 0.000 0.333
Tm3 0.000 0.000 0.667
Tm4 0.667 0.333 0.500
Mg1 0.667 0.333 0.167
Mg2 0.667 0.333 0.833

***

For YErCu4, a PBE-relaxed structure gives the simulated powder X-ray diffraction pattern in this record (copper Kα).
No peak broadening, texture or thermal motion is included.

Principal peaks in the range 2θ = 10–90°, low angle first:
24.2 deg, I = 12; 34.9 deg, I = 25; 36.1 deg, I = 100; 41.9 deg, I = 12; 42.5 deg, I = 24; 42.6 deg, I = 35; 57.0 deg, I = 15; 69.7 deg, I = 12; 71.3 deg, I = 10; 73.6 deg, I = 8

Atomic structure:
Unit cell a=5.424 b=5.424 c=5.424 alpha=133.83 beta=102.87 gamma=94.86
Element x y z (fractional)
Y1 0.000 0.000 0.000
Er1 0.583 0.083 0.500
Cu1 0.003 0.707 0.296
Cu2 0.175 0.378 0.797
Cu3 0.411 0.707 0.704
Cu4 0.580 0.378 0.203

***

For Sm2YNi2B2C3, a PBE-relaxed structure gives the simulated powder X-ray diffraction pattern in this record (copper Kα).
No peak broadening, texture or thermal motion is included.

Principal peaks in the range 2θ = 10–90°, low angle first:
27.7 deg, I = 100; 32.9 deg, I = 85; 34.8 deg, I = 39; 35.1 deg, I = 59; 35.9 deg, I = 38; 39.1 deg, I = 72; 50.0 deg, I = 46; 58.1 deg, I = 27; 61.1 deg, I = 29; 62.5 deg, I = 42

Atomic structure:
Unit cell a=10.542 b=10.542 c=10.542 alpha=160.06 beta=160.06 gamma=28.35
Element x y z (fractional)
Sm1 0.124 0.124 0.000
Sm2 0.876 0.876 0.000
Y1 0.500 0.500 0.000
Ni1 0.250 0.750 0.500
Ni2 0.750 0.250 0.500
B1 0.303 0.303 0.000
B2 0.697 0.697 0.000
C1 0.000 0.000 0.000
C2 0.375 0.375 0.000
C3 0.625 0.625 0.000